1.
For PmMg4Sc, a DFT-relaxed cell (PBE, Alexandria) gives the computed X-ray diffraction stick pattern in this record (Cu Kα).

Main lines, by angle (2θ from 5° to 70°):
- 2θ = 18.2°, 4.880 Å, rel. 51, hkl 1 1 1
- 2θ = 21.0°, 4.226 Å, rel. 23, hkl 2 0 0
- 2θ = 29.9°, 2.988 Å, rel. 71, hkl 2 2 0
- 2θ = 35.2°, 2.548 Å, rel. 100, hkl 3 1 1
- 2θ = 36.8°, 2.440 Å, rel. 15, hkl 2 2 2
- 2θ = 46.9°, 1.939 Å, rel. 14, hkl 3 3 1
- 2θ = 48.1°, 1.890 Å, rel. 11, hkl 4 2 0
- 2θ = 53.1°, 1.725 Å, rel. 28, hkl 4 2 2
- 2θ = 56.6°, 1.627 Å, rel. 33, hkl 5 1 1
- 2θ = 62.1°, 1.494 Å, rel. 20, hkl 4 4 0
- 2θ = 65.3°, 1.429 Å, rel. 10, hkl 5 3 1
- 2θ = 66.4°, 1.409 Å, rel. 6, hkl 4 4 2

Cell and atoms:
```
data_PmMg4Sc
_cell_length_a 8.452
_cell_length_b 8.452
_cell_length_c 8.452
_cell_angle_alpha 90.00
_cell_angle_beta 90.00
_cell_angle_gamma 90.00
_space_group_name_H-M_alt 'F -4 3 m'
_space_group_IT_number 216
_space_group_name_Hall 'F -4 2 3'
loop_
_atom_site_label
_atom_site_type_symbol
_atom_site_fract_x
_atom_site_fract_y
_atom_site_fract_z
Pm1 Pm 0.000 0.000 0.000
Mg1 Mg 0.125 0.125 0.375
Sc1 Sc 0.250 0.250 0.750
```

***

2.
For HoSc3, a DFT-relaxed cell (PBE, Alexandria) gives the computed X-ray diffraction stick pattern in this record (Cu Kα).

Main lines, by angle (2θ from 5° to 70°):
- 2θ = 19.0°, 4.674 Å, rel. 15, hkl 0 0 2
- 2θ = 21.1°, 4.213 Å, rel. 46, hkl 1 0 1
- 2θ = 26.7°, 3.337 Å, rel. 13, hkl 1 1 0
- 2θ = 33.0°, 2.716 Å, rel. 100, hkl 1 1 2
- 2θ = 34.5°, 2.600 Å, rel. 14, hkl 1 0 3
- 2θ = 38.1°, 2.360 Å, rel. 33, hkl 2 0 0
- 2θ = 38.5°, 2.337 Å, rel. 16, hkl 0 0 4
- 2θ = 44.0°, 2.059 Å, rel. 15, hkl 2 1 1
- 2θ = 55.0°, 1.669 Å, rel. 11, hkl 2 2 0
- 2θ = 55.3°, 1.660 Å, rel. 22, hkl 2 0 4
- 2θ = 65.7°, 1.422 Å, rel. 25, hkl 3 1 2
- 2θ = 66.2°, 1.412 Å, rel. 12, hkl 1 1 6

Cell and atoms:
```
data_HoSc3
_cell_length_a 4.719
_cell_length_b 4.719
_cell_length_c 9.349
_cell_angle_alpha 90.00
_cell_angle_beta 90.00
_cell_angle_gamma 90.00
_space_group_name_H-M_alt 'I 4/m m m'
_space_group_IT_number 139
_space_group_name_Hall '-I 4 2'
loop_
_atom_site_label
_atom_site_type_symbol
_atom_site_fract_x
_atom_site_fract_y
_atom_site_fract_z
Ho1 Ho 0.000 0.000 0.000
Sc1 Sc 0.000 0.000 0.500
Sc2 Sc 0.000 0.500 0.250
```

***

3.
For KTl8Sb2, a DFT-relaxed cell (PBE, Alexandria) gives the computed X-ray diffraction stick pattern in this record (Cu Kα).

Main lines, by angle (2θ from 5° to 70°):
- 2θ = 13.7°, 6.484 Å, rel. 44, hkl 0 0 1
- 2θ = 27.5°, 3.242 Å, rel. 39, hkl 0 0 2
- 2θ = 28.9°, 3.094 Å, rel. 38, hkl 5 1 0
- 2θ = 29.7°, 3.012 Å, rel. 66, hkl 2 2 0
- 2θ = 30.3°, 2.945 Å, rel. 79, hkl 6 0 0
- 2θ = 30.6°, 2.917 Å, rel. 60, hkl 1 1 -2
- 2θ = 31.1°, 2.873 Å, rel. 100, hkl 0 2 1
- 2θ = 32.6°, 2.745 Å, rel. 48, hkl 3 1 -2
- 2θ = 35.3°, 2.542 Å, rel. 40, hkl 6 0 1
- 2θ = 36.2°, 2.484 Å, rel. 45, hkl 4 2 -1
- 2θ = 38.5°, 2.339 Å, rel. 51, hkl 4 2 1
- 2θ = 51.0°, 1.791 Å, rel. 47, hkl 0 2 3

Cell and atoms:
```
data_KTl8Sb2
_cell_length_a 17.864
_cell_length_b 6.409
_cell_length_c 6.557
_cell_angle_alpha 90.00
_cell_angle_beta 98.57
_cell_angle_gamma 90.00
_space_group_name_H-M_alt 'C 1 2/m 1'
_space_group_IT_number 12
loop_
_space_group_symop_operation_xyz
'x,y,z'
'-x,-y,-z'
'-x,y,-z'
'x,-y,z'
'x+1/2,y+1/2,z'
'-x+1/2,-y+1/2,-z'
'-x+1/2,y+1/2,-z'
'x+1/2,-y+1/2,z'
loop_
_atom_site_label
_atom_site_type_symbol
_atom_site_fract_x
_atom_site_fract_y
_atom_site_fract_z
K1 K 0.000 0.000 0.000
Tl1 Tl 0.089 0.256 0.484
Tl2 Tl 0.128 0.500 0.014
Tl3 Tl 0.242 0.000 0.329
Sb1 Sb 0.190 0.000 0.834
```

***

4.
For Tm8Th2Sc, a DFT-relaxed cell (PBE, Alexandria) gives the computed X-ray diffraction stick pattern in this record (Cu Kα).

Main lines, by angle (2θ from 5° to 70°):
- 2θ = 29.7°, 3.012 Å, rel. 59, hkl 2 2 0
- 2θ = 30.8°, 2.906 Å, rel. 28, hkl 1 1 -2
- 2θ = 30.9°, 2.895 Å, rel. 40, hkl 0 2 1
- 2θ = 31.0°, 2.881 Å, rel. 41, hkl 5 1 0
- 2θ = 31.9°, 2.809 Å, rel. 56, hkl 5 1 -1
- 2θ = 32.1°, 2.792 Å, rel. 79, hkl 2 0 2
- 2θ = 32.9°, 2.724 Å, rel. 78, hkl 3 1 -2
- 2θ = 33.4°, 2.679 Å, rel. 42, hkl 6 0 0
- 2θ = 33.8°, 2.653 Å, rel. 100, hkl 2 2 1
- 2θ = 36.7°, 2.450 Å, rel. 32, hkl 4 2 -1
- 2θ = 50.8°, 1.798 Å, rel. 29, hkl 2 2 -3
- 2θ = 64.2°, 1.450 Å, rel. 32, hkl 8 2 -3

Cell and atoms:
```
data_Tm8Th2Sc
_cell_length_a 16.365
_cell_length_b 6.498
_cell_length_c 6.499
_cell_angle_alpha 90.00
_cell_angle_beta 100.81
_cell_angle_gamma 90.00
_space_group_name_H-M_alt 'C 1 2/m 1'
_space_group_IT_number 12
loop_
_space_group_symop_operation_xyz
'x,y,z'
'-x,-y,-z'
'-x,y,-z'
'x,-y,z'
'x+1/2,y+1/2,z'
'-x+1/2,-y+1/2,-z'
'-x+1/2,y+1/2,-z'
'x+1/2,-y+1/2,z'
loop_
_atom_site_label
_atom_site_type_symbol
_atom_site_fract_x
_atom_site_fract_y
_atom_site_fract_z
Tm1 Tm 0.083 0.242 0.392
Tm2 Tm 0.092 0.000 0.909
Tm3 Tm 0.192 0.500 0.818
Th1 Th 0.248 0.500 0.341
Sc1 Sc 0.000 0.500 0.000
```

***

5.
For Sm2ScBi, a DFT-relaxed cell (PBE, Alexandria) gives the computed X-ray diffraction stick pattern in this record (Cu Kα).

Main lines, by angle (2θ from 5° to 70°):
- 2θ = 13.3°, 6.651 Å, rel. 21, hkl 0 0 1
- 2θ = 25.0°, 3.555 Å, rel. 17, hkl 1 0 1
- 2θ = 30.0°, 2.974 Å, rel. 71, hkl 1 1 0
- 2θ = 33.0°, 2.715 Å, rel. 11, hkl 1 1 1
- 2θ = 34.4°, 2.609 Å, rel. 100, hkl 1 0 2
- 2θ = 43.0°, 2.103 Å, rel. 27, hkl 2 0 0
- 2θ = 46.3°, 1.961 Å, rel. 5, hkl 1 0 3
- 2θ = 50.4°, 1.810 Å, rel. 6, hkl 2 1 1
- 2θ = 55.2°, 1.663 Å, rel. 6, hkl 0 0 4
- 2θ = 56.2°, 1.637 Å, rel. 49, hkl 2 1 2
- 2θ = 62.4°, 1.487 Å, rel. 9, hkl 2 2 0
- 2θ = 64.2°, 1.451 Å, rel. 18, hkl 1 1 4

Cell and atoms:
```
data_Sm2ScBi
_cell_length_a 4.206
_cell_length_b 4.206
_cell_length_c 6.651
_cell_angle_alpha 90.00
_cell_angle_beta 90.00
_cell_angle_gamma 90.00
_space_group_name_H-M_alt 'P 4/m m m'
_space_group_IT_number 123
_space_group_name_Hall '-P 4 2'
loop_
_atom_site_label
_atom_site_type_symbol
_atom_site_fract_x
_atom_site_fract_y
_atom_site_fract_z
Sm1 Sm 0.000 0.000 0.245
Sc1 Sc 0.500 0.500 0.500
Bi1 Bi 0.500 0.500 0.000
```

***

6.
For TmTiAu, a DFT-relaxed cell (PBE, Alexandria) gives the computed X-ray diffraction stick pattern in this record (Cu Kα).

Main lines, by angle (2θ from 5° to 70°):
- 2θ = 25.3°, 3.522 Å, rel. 26, hkl 0 0 2
- 2θ = 29.3°, 3.045 Å, rel. 100, hkl 1 1 0
- 2θ = 32.0°, 2.795 Å, rel. 32, hkl 1 1 1
- 2θ = 32.9°, 2.726 Å, rel. 48, hkl 1 0 2
- 2θ = 39.1°, 2.303 Å, rel. 77, hkl 1 1 2
- 2θ = 42.0°, 2.153 Å, rel. 65, hkl 2 0 0
- 2θ = 43.9°, 2.061 Å, rel. 47, hkl 1 0 3
- 2θ = 49.6°, 1.837 Å, rel. 18, hkl 2 0 2
- 2θ = 54.3°, 1.690 Å, rel. 23, hkl 2 1 2
- 2θ = 60.9°, 1.522 Å, rel. 22, hkl 2 2 0
- 2θ = 62.4°, 1.489 Å, rel. 33, hkl 2 1 3
- 2θ = 69.0°, 1.362 Å, rel. 20, hkl 3 1 0

Cell and atoms:
```
data_TmTiAu
_cell_length_a 4.306
_cell_length_b 4.306
_cell_length_c 7.043
_cell_angle_alpha 90.00
_cell_angle_beta 90.00
_cell_angle_gamma 90.00
_space_group_name_H-M_alt 'P 4/n m m'
_space_group_IT_number 129
loop_
_space_group_symop_operation_xyz
'x,y,z'
'-x,-y,-z'
'-y+1/2,x,z'
'y+1/2,-x,-z'
'-x+1/2,-y+1/2,z'
'x+1/2,y+1/2,-z'
'y,-x+1/2,z'
'-y,x+1/2,-z'
'x+1/2,-y,-z'
'-x+1/2,y,z'
'-y,-x,-z'
'y,x,z'
'-x,y+1/2,-z'
'x,-y+1/2,z'
'y+1/2,x+1/2,-z'
'-y+1/2,-x+1/2,z'
loop_
_atom_site_label
_atom_site_type_symbol
_atom_site_fract_x
_atom_site_fract_y
_atom_site_fract_z
Tm1 Tm 0.250 0.250 0.146
Ti1 Ti 0.250 0.750 0.500
Au1 Au 0.250 0.250 0.743
```

***

7.
For Ac2CuNi3Sb4, a DFT-relaxed cell (PBE, Alexandria) gives the computed X-ray diffraction stick pattern in this record (Cu Kα).

Main lines, by angle (2θ from 5° to 70°):
- 2θ = 21.1°, 4.208 Å, rel. 13, hkl 1 0 1
- 2θ = 27.3°, 3.266 Å, rel. 22, hkl 1 1 0
- 2θ = 28.7°, 3.110 Å, rel. 8, hkl 1 1 1
- 2θ = 32.6°, 2.751 Å, rel. 100, hkl 1 1 2
- 2θ = 32.7°, 2.739 Å, rel. 73, hkl 1 0 3
- 2θ = 39.0°, 2.309 Å, rel. 65, hkl 2 0 0
- 2θ = 48.8°, 1.867 Å, rel. 23, hkl 1 0 5
- 2θ = 51.8°, 1.765 Å, rel. 40, hkl 2 1 3
- 2θ = 56.3°, 1.633 Å, rel. 22, hkl 2 2 0
- 2θ = 61.5°, 1.509 Å, rel. 15, hkl 1 1 6
- 2θ = 64.1°, 1.452 Å, rel. 20, hkl 2 1 5
- 2θ = 66.6°, 1.404 Å, rel. 35, hkl 3 1 2

Cell and atoms:
```
data_Ac2CuNi3Sb4
_cell_length_a 4.618
_cell_length_b 4.618
_cell_length_c 10.207
_cell_angle_alpha 90.00
_cell_angle_beta 90.00
_cell_angle_gamma 90.00
_space_group_name_H-M_alt 'P -4 m 2'
_space_group_IT_number 115
loop_
_space_group_symop_operation_xyz
'x,y,z'
'y,-x,-z'
'-x,-y,z'
'-y,x,-z'
'-x,y,z'
'-y,-x,-z'
'x,-y,z'
'y,x,-z'
loop_
_atom_site_label
_atom_site_type_symbol
_atom_site_fract_x
_atom_site_fract_y
_atom_site_fract_z
Ac1 Ac 0.000 0.500 0.241
Cu1 Cu 0.500 0.500 0.000
Ni1 Ni 0.000 0.000 0.000
Ni2 Ni 0.000 0.500 0.618
Sb1 Sb 0.000 0.000 0.500
Sb2 Sb 0.000 0.500 0.871
Sb3 Sb 0.500 0.500 0.500
```

***

8.
For PaTeI3, a DFT-relaxed cell (PBE, Alexandria) gives the computed X-ray diffraction stick pattern in this record (Cu Kα).

Main lines, by angle (2θ from 5° to 70°):
- 2θ = 10.6°, 8.339 Å, rel. 68, hkl 0 1 0
- 2θ = 11.3°, 7.828 Å, rel. 100, hkl 1 0 0
- 2θ = 12.2°, 7.257 Å, rel. 79, hkl 0 1 1
- 2θ = 25.0°, 3.567 Å, rel. 49, hkl 1 0 -4
- 2θ = 25.3°, 3.516 Å, rel. 28, hkl 1 1 3
- 2θ = 26.2°, 3.398 Å, rel. 38, hkl 2 1 -2
- 2θ = 28.4°, 3.139 Å, rel. 39, hkl 1 0 4
- 2θ = 29.2°, 3.061 Å, rel. 65, hkl 1 2 -3
- 2θ = 32.7°, 2.741 Å, rel. 35, hkl 2 2 1
- 2θ = 34.4°, 2.607 Å, rel. 30, hkl 2 2 -3
- 2θ = 35.9°, 2.499 Å, rel. 28, hkl 1 1 5
- 2θ = 37.6°, 2.392 Å, rel. 28, hkl 1 2 -5

Cell and atoms:
```
data_PaTeI3
_cell_length_a 7.936
_cell_length_b 8.339
_cell_length_c 14.936
_cell_angle_alpha 90.00
_cell_angle_beta 99.48
_cell_angle_gamma 90.00
_space_group_name_H-M_alt 'P 1 2/c 1'
_space_group_IT_number 13
loop_
_space_group_symop_operation_xyz
'x,y,z'
'-x,-y,-z'
'-x,y,-z+1/2'
'x,-y,z+1/2'
loop_
_atom_site_label
_atom_site_type_symbol
_atom_site_fract_x
_atom_site_fract_y
_atom_site_fract_z
Pa1 Pa 0.076 0.126 0.142
Te1 Te 0.162 0.387 0.300
I1 I 0.154 0.193 0.544
I2 I 0.242 0.071 0.810
I3 I 0.368 0.278 0.076
```

***

9.
For Na2DyTiSe4, a DFT-relaxed cell (PBE, Alexandria) gives the computed X-ray diffraction stick pattern in this record (Cu Kα).

Main lines, by angle (2θ from 5° to 70°):
- 2θ = 12.6°, 7.017 Å, rel. 42, hkl 0 0 1
- 2θ = 15.4°, 5.759 Å, rel. 6, hkl 1 0 -1
- 2θ = 26.3°, 3.389 Å, rel. 9, hkl 1 1 0
- 2θ = 31.1°, 2.876 Å, rel. 100, hkl 1 1 1
- 2θ = 39.8°, 2.262 Å, rel. 13, hkl 2 0 -3
- 2θ = 43.3°, 2.089 Å, rel. 36, hkl 1 1 -3
- 2θ = 45.7°, 1.985 Å, rel. 22, hkl 3 1 -1
- 2θ = 45.9°, 1.979 Å, rel. 12, hkl 0 2 0
- 2θ = 54.9°, 1.672 Å, rel. 8, hkl 1 1 -4
- 2θ = 56.2°, 1.636 Å, rel. 6, hkl 4 0 0
- 2θ = 56.4°, 1.631 Å, rel. 12, hkl 2 2 -2
- 2θ = 64.9°, 1.437 Å, rel. 7, hkl 2 2 2

Cell and atoms:
```
data_Na2DyTiSe4
_cell_length_a 6.882
_cell_length_b 3.957
_cell_length_c 7.382
_cell_angle_alpha 90.00
_cell_angle_beta 108.08
_cell_angle_gamma 90.00
_space_group_name_H-M_alt 'P 1 2/m 1'
_space_group_IT_number 10
loop_
_space_group_symop_operation_xyz
'x,y,z'
'-x,-y,-z'
'-x,y,-z'
'x,-y,z'
loop_
_atom_site_label
_atom_site_type_symbol
_atom_site_fract_x
_atom_site_fract_y
_atom_site_fract_z
Na1 Na 0.000 0.000 0.000
Na2 Na 0.500 0.500 0.000
Dy1 Dy 0.000 0.500 0.500
Ti1 Ti 0.500 0.000 0.500
Se1 Se 0.260 0.000 0.726
Se2 Se 0.279 0.500 0.284
```

***

10.
For Na5MgBr8, a DFT-relaxed cell (PBE, Alexandria) gives the computed X-ray diffraction stick pattern in this record (Cu Kα).

Main lines, by angle (2θ from 5° to 70°):
- 2θ = 24.3°, 3.662 Å, rel. 7, hkl 3 1 1
- 2θ = 25.4°, 3.506 Å, rel. 100, hkl 2 2 2
- 2θ = 29.4°, 3.036 Å, rel. 81, hkl 4 0 0
- 2θ = 36.2°, 2.479 Å, rel. 4, hkl 4 2 2
- 2θ = 38.5°, 2.337 Å, rel. 5, hkl 5 1 1
- 2θ = 42.1°, 2.147 Å, rel. 77, hkl 4 4 0
- 2θ = 49.8°, 1.831 Å, rel. 43, hkl 6 2 2
- 2θ = 52.2°, 1.753 Å, rel. 20, hkl 4 4 4
- 2θ = 61.0°, 1.518 Å, rel. 12, hkl 8 0 0
- 2θ = 65.2°, 1.431 Å, rel. 3, hkl 8 2 2
- 2θ = 67.2°, 1.393 Å, rel. 17, hkl 6 6 2
- 2θ = 69.2°, 1.358 Å, rel. 24, hkl 8 4 0

Cell and atoms:
```
data_Na5MgBr8
_cell_length_a 12.145
_cell_length_b 12.145
_cell_length_c 12.145
_cell_angle_alpha 90.00
_cell_angle_beta 90.00
_cell_angle_gamma 90.00
_space_group_name_H-M_alt 'F -4 3 m'
_space_group_IT_number 216
_space_group_name_Hall 'F -4 2 3'
loop_
_atom_site_label
_atom_site_type_symbol
_atom_site_fract_x
_atom_site_fract_y
_atom_site_fract_z
Na1 Na 0.000 0.000 0.000
Na2 Na 0.126 0.126 0.626
Mg1 Mg 0.250 0.250 0.250
Br1 Br 0.128 0.128 0.372
Br2 Br 0.134 0.134 0.866
```

***

11.
For BaSn2Sb2, a DFT-relaxed cell (PBE, Alexandria) gives the computed X-ray diffraction stick pattern in this record (Cu Kα).

Main lines, by angle (2θ from 5° to 70°):
- 2θ = 5.9°, 15.087 Å, rel. 8, hkl 0 2 0
- 2θ = 23.9°, 3.725 Å, rel. 10, hkl 1 5 0
- 2θ = 29.6°, 3.017 Å, rel. 13, hkl 0 10 0
- 2θ = 30.7°, 2.911 Å, rel. 100, hkl 1 5 1
- 2θ = 32.7°, 2.736 Å, rel. 7, hkl 1 9 0
- 2θ = 38.0°, 2.367 Å, rel. 19, hkl 2 0 0
- 2θ = 38.1°, 2.360 Å, rel. 9, hkl 1 9 1
- 2θ = 38.6°, 2.333 Å, rel. 19, hkl 0 0 2
- 2θ = 55.3°, 1.662 Å, rel. 15, hkl 2 0 2
- 2θ = 64.2°, 1.451 Å, rel. 13, hkl 3 5 1
- 2θ = 65.0°, 1.435 Å, rel. 12, hkl 1 5 3
- 2θ = 65.1°, 1.433 Å, rel. 8, hkl 1 19 1

Cell and atoms:
```
data_BaSn2Sb2
_cell_length_a 4.734
_cell_length_b 30.174
_cell_length_c 4.666
_cell_angle_alpha 90.00
_cell_angle_beta 90.00
_cell_angle_gamma 90.00
_space_group_name_H-M_alt 'C m c m'
_space_group_IT_number 63
_space_group_name_Hall '-C 2c 2'
loop_
_atom_site_label
_atom_site_type_symbol
_atom_site_fract_x
_atom_site_fract_y
_atom_site_fract_z
Ba1 Ba 0.000 0.159 0.250
Sn1 Sn 0.000 0.040 0.750
Sn2 Sn 0.000 0.454 0.750
Sb1 Sb 0.000 0.251 0.750
Sb2 Sb 0.000 0.387 0.250
```

***

Please write out number 3 again, unchanged.
For KTl8Sb2, a DFT-relaxed cell (PBE, Alexandria) gives the computed X-ray diffraction stick pattern in this record (Cu Kα).

Main lines, by angle (2θ from 5° to 70°):
- 2θ = 13.7°, 6.484 Å, rel. 44, hkl 0 0 1
- 2θ = 27.5°, 3.242 Å, rel. 39, hkl 0 0 2
- 2θ = 28.9°, 3.094 Å, rel. 38, hkl 5 1 0
- 2θ = 29.7°, 3.012 Å, rel. 66, hkl 2 2 0
- 2θ = 30.3°, 2.945 Å, rel. 79, hkl 6 0 0
- 2θ = 30.6°, 2.917 Å, rel. 60, hkl 1 1 -2
- 2θ = 31.1°, 2.873 Å, rel. 100, hkl 0 2 1
- 2θ = 32.6°, 2.745 Å, rel. 48, hkl 3 1 -2
- 2θ = 35.3°, 2.542 Å, rel. 40, hkl 6 0 1
- 2θ = 36.2°, 2.484 Å, rel. 45, hkl 4 2 -1
- 2θ = 38.5°, 2.339 Å, rel. 51, hkl 4 2 1
- 2θ = 51.0°, 1.791 Å, rel. 47, hkl 0 2 3

Cell and atoms:
```
data_KTl8Sb2
_cell_length_a 17.864
_cell_length_b 6.409
_cell_length_c 6.557
_cell_angle_alpha 90.00
_cell_angle_beta 98.57
_cell_angle_gamma 90.00
_space_group_name_H-M_alt 'C 1 2/m 1'
_space_group_IT_number 12
loop_
_space_group_symop_operation_xyz
'x,y,z'
'-x,-y,-z'
'-x,y,-z'
'x,-y,z'
'x+1/2,y+1/2,z'
'-x+1/2,-y+1/2,-z'
'-x+1/2,y+1/2,-z'
'x+1/2,-y+1/2,z'
loop_
_atom_site_label
_atom_site_type_symbol
_atom_site_fract_x
_atom_site_fract_y
_atom_site_fract_z
K1 K 0.000 0.000 0.000
Tl1 Tl 0.089 0.256 0.484
Tl2 Tl 0.128 0.500 0.014
Tl3 Tl 0.242 0.000 0.329
Sb1 Sb 0.190 0.000 0.834
```